No. 1
# MnAsRh
Computed powder XRD pattern, copper Kα. Input: a crystal structure in the Materials Project, relaxed with GGA-PBE.

The 8 most intense peaks (15° ≤ 2θ ≤ 90°), sorted by position:
(hkl)	2theta	I/Imax
1 1 1	36.96	100
2 0 1	40.40	82
2 1 0	42.43	45
3 0 0	48.45	42
2 1 1	49.51	47
0 0 2	49.83	30
3 0 2	72.04	25
3 2 1	78.44	33

```
data_MnAsRh
_chemical_formula_sum 'Mn3 As3 Rh3'
_cell_length_a 6.5079
_cell_length_b 6.5079
_cell_length_c 3.6600
_cell_angle_alpha 90.00
_cell_angle_beta 90.00
_cell_angle_gamma 120.00
_symmetry_space_group_name_H-M 'P -6 2 m'
_symmetry_Int_Tables_number 189
_symmetry_space_group_name_Hall 'P -6 -2'
loop_
_atom_site_label
_atom_site_type_symbol
_atom_site_fract_x
_atom_site_fract_y
_atom_site_fract_z
Mn1 Mn 0.0000 0.4048 0.0000
As1 As 0.0000 0.0000 0.0000
As2 As 0.3333 0.6667 0.5000
Rh1 Rh 0.0000 0.7365 0.5000
```



No. 2
# MnAsRh
Computed powder XRD pattern, copper Kα. Input: a crystal structure in the Materials Project, relaxed with GGA-PBE.

The 8 most intense peaks (15° ≤ 2θ ≤ 90°), sorted by position:
(hkl)	2theta	I/Imax
1 1 1	37.19	100
2 0 1	40.76	58
2 1 0	43.46	22
0 0 2	48.97	24
3 0 0	49.65	38
2 1 1	50.21	20
3 0 2	72.30	24
3 2 1	80.22	20

```
data_MnAsRh
_chemical_formula_sum 'Mn3 As3 Rh3'
_cell_length_a 6.3611
_cell_length_b 6.3611
_cell_length_c 3.7203
_cell_angle_alpha 90.00
_cell_angle_beta 90.00
_cell_angle_gamma 120.00
_symmetry_space_group_name_H-M 'P -6 2 m'
_symmetry_Int_Tables_number 189
_symmetry_space_group_name_Hall 'P -6 -2'
loop_
_atom_site_label
_atom_site_type_symbol
_atom_site_fract_x
_atom_site_fract_y
_atom_site_fract_z
Mn1 Mn 0.0000 0.7399 0.0000
As1 As 0.0000 0.0000 0.5000
As2 As 0.3333 0.6667 0.0000
Rh1 Rh 0.0000 0.3860 0.5000
```



No. 3
# MnAsRh
Computed powder XRD pattern, copper Kα. Input: a crystal structure in the Materials Project, relaxed with GGA-PBE.

The 8 most intense peaks (15° ≤ 2θ ≤ 90°), sorted by position:
(hkl)	2theta	I/Imax
1 1 1	39.25	100
2 0 1	42.11	31
3 0 0	45.04	78
2 1 1	49.91	17
2 2 1	61.25	20
3 2 1	75.35	16
3 0 2	78.73	29
4 1 1	79.19	15

```
data_MnAsRh
_chemical_formula_sum 'Mn3 As3 Rh3'
_cell_length_a 6.9725
_cell_length_b 6.9725
_cell_length_c 3.0500
_cell_angle_alpha 90.00
_cell_angle_beta 90.00
_cell_angle_gamma 120.00
_symmetry_space_group_name_H-M 'P -6 2 m'
_symmetry_Int_Tables_number 189
_symmetry_space_group_name_Hall 'P -6 -2'
loop_
_atom_site_label
_atom_site_type_symbol
_atom_site_fract_x
_atom_site_fract_y
_atom_site_fract_z
Mn1 Mn 0.0000 0.7029 0.0000
As1 As 0.0000 0.0000 0.5000
As2 As 0.3333 0.6667 0.0000
Rh1 Rh 0.0000 0.3634 0.5000
```



No. 4
# MnTl2As2S5
Computed powder XRD pattern, copper Kα. Input: a crystal structure in the Materials Project, relaxed with GGA-PBE.

The 8 most intense peaks (15° ≤ 2θ ≤ 90°), sorted by position:
(hkl)	2theta	I/Imax
2 0 2	15.34	18
0 2 0	23.04	33
0 2 1	23.68	20
4 0 2	24.98	31
3 1 3	25.85	100
1 1 5	29.15	65
4 2 1	32.98	44
6 0 0	34.26	23

```
data_MnTl2As2S5
_chemical_formula_sum 'Mn8 Tl16 As16 S40'
_cell_length_a 15.6889
_cell_length_b 7.7185
_cell_length_c 17.0786
_cell_angle_alpha 90.00
_cell_angle_beta 90.00
_cell_angle_gamma 90.00
_symmetry_space_group_name_H-M 'C m c e'
_symmetry_Int_Tables_number 64
_symmetry_space_group_name_Hall '-C 2ac 2'
loop_
_atom_site_label
_atom_site_type_symbol
_atom_site_fract_x
_atom_site_fract_y
_atom_site_fract_z
Mn1 Mn 0.2500 0.1470 0.2500
Tl1 Tl 0.0000 0.0880 0.1809
Tl2 Tl 0.1494 0.0000 0.0000
As1 As 0.1167 0.0318 0.6072
S1 S 0.0000 0.1553 0.3805
S2 S 0.1375 0.1071 0.7353
S3 S 0.2195 0.1709 0.3963
```



No. 5
# Mn4Sb3As
Computed powder XRD pattern, copper Kα. Input: a crystal structure in the Materials Project, relaxed with GGA-PBE.

The 8 most intense peaks (15° ≤ 2θ ≤ 90°), sorted by position:
(hkl)	2theta	I/Imax
1 0 2	30.40	100
1 0 4	41.44	57
1 1 0	45.54	48
2 0 2	55.79	35
2 0 4	63.25	15
2 1 2	74.76	22
2 1 4	81.34	14
1 1 8	84.35	15

```
data_Mn4Sb3As
_chemical_formula_sum 'Mn4 Sb3 As1'
_cell_length_a 3.9839
_cell_length_b 3.9839
_cell_length_c 11.2421
_cell_angle_alpha 90.00
_cell_angle_beta 90.00
_cell_angle_gamma 120.00
_symmetry_space_group_name_H-M 'P -6 m 2'
_symmetry_Int_Tables_number 187
_symmetry_space_group_name_Hall 'P -6 2'
loop_
_atom_site_label
_atom_site_type_symbol
_atom_site_fract_x
_atom_site_fract_y
_atom_site_fract_z
Mn1 Mn 0.0000 0.0000 0.1160
Mn2 Mn 0.0000 0.0000 0.3743
Sb1 Sb 0.3333 0.6667 0.2468
Sb2 Sb 0.6667 0.3333 0.5000
As1 As 0.6667 0.3333 0.0000
```



No. 6
# Mn4SbAs
Computed powder XRD pattern, copper Kα. Input: a crystal structure in the Materials Project, relaxed with GGA-PBE.

The 8 most intense peaks (15° ≤ 2θ ≤ 90°), sorted by position:
(hkl)	2theta	I/Imax
0 0 2	27.52	46
1 1 0	33.88	35
1 1 1	36.68	66
1 1 2	44.18	100
2 0 0	48.66	81
2 2 0	71.28	33
1 0 5	77.97	23
3 1 2	87.83	26

```
data_Mn4SbAs
_chemical_formula_sum 'Mn4 Sb1 As1'
_cell_length_a 3.7415
_cell_length_b 3.7415
_cell_length_c 6.4866
_cell_angle_alpha 90.00
_cell_angle_beta 90.00
_cell_angle_gamma 90.00
_symmetry_space_group_name_H-M 'P 4 m m'
_symmetry_Int_Tables_number 99
loop_
_symmetry_equiv_pos_as_xyz
'x,y,z'
'-y,x,z'
'-x,-y,z'
'y,-x,z'
'-x,y,z'
'y,x,z'
'x,-y,z'
'-y,-x,z'
loop_
_atom_site_label
_atom_site_type_symbol
_atom_site_fract_x
_atom_site_fract_y
_atom_site_fract_z
Mn1 Mn 0.0000 0.0000 0.0000
Mn2 Mn 0.0000 0.5000 0.3693
Mn3 Mn 0.5000 0.5000 0.6842
Sb1 Sb 0.5000 0.5000 0.0876
As1 As 0.0000 0.0000 0.6192
```